No. 1
# Pm8SmTm4
Calculated XRD peak list, a wavelength of 1.5418 Å. Input: a cell relaxed with PBE.
Peak positions follow from Bragg's law for the DFT cell and can differ from measured ones.

Structure:
```
data_Pm8SmTm4
_chemical_formula_sum 'Pm8 Sm1 Tm4'
_symmetry_space_group_name_H-M 'P 1'
_symmetry_Int_Tables_number 1
_cell_length_a 10.312
_cell_length_b 10.312
_cell_length_c 10.312
_cell_angle_alpha 41.42
_cell_angle_beta 41.42
_cell_angle_gamma 41.42
loop_
_symmetry_equiv_pos_as_xyz
'x,y,z'
loop_
_atom_site_label
_atom_site_type_symbol
_atom_site_fract_x
_atom_site_fract_y
_atom_site_fract_z
Pm1 Pm 0.203 0.751 0.751
Pm2 Pm 0.215 0.215 0.215
Pm3 Pm 0.249 0.249 0.797
Pm4 Pm 0.249 0.797 0.249
Pm5 Pm 0.751 0.203 0.751
Pm6 Pm 0.751 0.751 0.203
Pm7 Pm 0.785 0.785 0.785
Pm8 Pm 0.797 0.249 0.249
Sm1 Sm 0.500 0.500 0.500
Tm1 Tm 0.000 0.000 0.000
Tm2 Tm 0.000 0.500 0.500
Tm3 Tm 0.500 0.000 0.500
Tm4 Tm 0.500 0.500 0.000
```

The 6 most intense peaks (2θ = 15–90°), most intense first:
2θ/deg, d (Å), I_rel
31.02, 2.883, 100
28.44, 3.138, 42
38.24, 2.354, 39
32.48, 2.756, 35
50.03, 1.823, 29
58.55, 1.576, 20


No. 2
# Pm3SmTm
Calculated XRD peak list, a wavelength of 1.5418 Å. Input: a cell relaxed with PBE.
Peak positions follow from Bragg's law for the DFT cell and can differ from measured ones.

Structure:
```
data_Pm3SmTm
_chemical_formula_sum 'Pm12 Sm4 Tm4'
_symmetry_space_group_name_H-M 'P 1'
_symmetry_Int_Tables_number 1
_cell_length_a 9.587
_cell_length_b 9.587
_cell_length_c 12.279
_cell_angle_alpha 106.31
_cell_angle_beta 106.31
_cell_angle_gamma 38.27
loop_
_symmetry_equiv_pos_as_xyz
'x,y,z'
loop_
_atom_site_label
_atom_site_type_symbol
_atom_site_fract_x
_atom_site_fract_y
_atom_site_fract_z
Pm1 Pm 0.118 0.282 0.249
Pm2 Pm 0.199 0.701 0.999
Pm3 Pm 0.282 0.118 0.749
Pm4 Pm 0.299 0.801 0.501
Pm5 Pm 0.317 0.484 0.250
Pm6 Pm 0.484 0.317 0.750
Pm7 Pm 0.516 0.683 0.250
Pm8 Pm 0.683 0.516 0.750
Pm9 Pm 0.701 0.199 0.499
Pm10 Pm 0.718 0.882 0.251
Pm11 Pm 0.801 0.299 0.001
Pm12 Pm 0.882 0.718 0.751
Sm1 Sm 0.099 0.600 0.501
Sm2 Sm 0.400 0.901 0.999
Sm3 Sm 0.600 0.099 0.001
Sm4 Sm 0.901 0.400 0.499
Tm1 Tm 0.000 0.500 0.000
Tm2 Tm 0.084 0.916 0.750
Tm3 Tm 0.500 0.000 0.500
Tm4 Tm 0.916 0.084 0.250
```

The 6 most intense peaks (2θ = 15–90°), most intense first:
2θ/deg, d (Å), I_rel
32.34, 2.768, 100
29.45, 3.033, 42
30.50, 2.931, 34
50.33, 1.813, 26
59.98, 1.542, 25
36.69, 2.449, 16


No. 3
# Pm2SmYTm5
Calculated XRD peak list, a wavelength of 1.5418 Å. Input: a cell relaxed with PBE.
Peak positions follow from Bragg's law for the DFT cell and can differ from measured ones.

Structure:
```
data_Pm2SmYTm5
_chemical_formula_sum 'Pm4 Sm2 Y2 Tm10'
_symmetry_space_group_name_H-M 'P 1'
_symmetry_Int_Tables_number 1
_cell_length_a 9.833
_cell_length_b 9.833
_cell_length_c 9.833
_cell_angle_alpha 128.17
_cell_angle_beta 128.17
_cell_angle_gamma 76.35
loop_
_symmetry_equiv_pos_as_xyz
'x,y,z'
loop_
_atom_site_label
_atom_site_type_symbol
_atom_site_fract_x
_atom_site_fract_y
_atom_site_fract_z
Pm1 Pm 0.117 0.617 0.735
Pm2 Pm 0.383 0.117 0.500
Pm3 Pm 0.617 0.883 0.500
Pm4 Pm 0.883 0.383 0.265
Sm1 Sm 0.250 0.750 0.500
Sm2 Sm 0.750 0.250 0.500
Y1 Y 0.250 0.250 0.000
Y2 Y 0.750 0.750 0.000
Tm1 Tm 0.000 0.000 0.000
Tm2 Tm 0.071 0.152 0.500
Tm3 Tm 0.152 0.652 0.081
Tm4 Tm 0.348 0.429 0.500
Tm5 Tm 0.429 0.929 0.081
Tm6 Tm 0.500 0.500 0.000
Tm7 Tm 0.571 0.071 0.919
Tm8 Tm 0.652 0.571 0.500
Tm9 Tm 0.848 0.348 0.919
Tm10 Tm 0.929 0.848 0.500
```

The 6 most intense peaks (2θ = 15–90°), most intense first:
2θ/deg, d (Å), I_rel
31.12, 2.874, 100
28.98, 3.081, 54
29.39, 3.039, 50
47.02, 1.933, 25
53.23, 1.721, 21
43.79, 2.068, 19